Record 1
The following is a simulated powder diffraction line list of RbHg7. It was derived from a DFT-relaxed cell (PBE, Alexandria), using copper Kα.
Kinematic intensities with the Lorentz-polarization factor, no thermal factor.

Main lines, low angle first (5 to 70 degrees two-theta):
d_spacing  I_rel  h k l
3.093  23  2 0 0
2.865  26  0 0 2
2.722  100  2 0 1
1.786  19  2 2 0
1.625  22  2 0 3
1.515  22  2 2 2

Cell and atoms:
```
data_RbHg7
_chemical_formula_sum 'Rb1 Hg7'
_cell_length_a 7.1429
_cell_length_b 7.1429
_cell_length_c 5.7292
_cell_angle_alpha 90.00
_cell_angle_beta 90.00
_cell_angle_gamma 120.00
_symmetry_space_group_name_H-M 'P -6 m 2'
_symmetry_Int_Tables_number 187
_symmetry_space_group_name_Hall 'P -6 2'
loop_
_atom_site_label
_atom_site_type_symbol
_atom_site_fract_x
_atom_site_fract_y
_atom_site_fract_z
Rb1 Rb 0.0000 0.0000 0.0000
Hg1 Hg 0.0034 0.5017 0.0000
Hg2 Hg 0.3333 0.6667 0.5000
Hg3 Hg 0.3592 0.1796 0.5000
```



Record 2
The following is a simulated powder diffraction line list of Rb5Hg. It was derived from a DFT-relaxed cell (PBE, Alexandria), using copper Kα.
Kinematic intensities with the Lorentz-polarization factor, no thermal factor.

Main lines, low angle first (5 to 70 degrees two-theta):
d_spacing  I_rel  h k l
8.802  81  1 0 1
4.026  35  2 1 1
3.804  100  1 1 2
3.435  56  2 1 2
3.375  64  3 1 1
2.747  35  0 2 0

Cell and atoms:
```
data_Rb5Hg
_chemical_formula_sum 'Rb10 Hg2'
_cell_length_a 13.8441
_cell_length_b 5.4946
_cell_length_c 11.4036
_cell_angle_alpha 90.00
_cell_angle_beta 90.00
_cell_angle_gamma 90.00
_symmetry_space_group_name_H-M 'P m m a'
_symmetry_Int_Tables_number 51
loop_
_symmetry_equiv_pos_as_xyz
'x,y,z'
'-x,-y,-z'
'-x+1/2,-y,z'
'x+1/2,y,-z'
'x+1/2,-y,-z'
'-x+1/2,y,z'
'-x,y,-z'
'x,-y,z'
loop_
_atom_site_label
_atom_site_type_symbol
_atom_site_fract_x
_atom_site_fract_y
_atom_site_fract_z
Rb1 Rb 0.0000 0.0000 0.0000
Rb2 Rb 0.0788 0.5000 0.3126
Rb3 Rb 0.2500 0.0000 0.5848
Rb4 Rb 0.2500 0.5000 0.9380
Hg1 Hg 0.2500 0.0000 0.1792
```



Record 3
The following is a simulated powder diffraction line list of Rb5Hg. It was derived from a DFT-relaxed cell (PBE, Alexandria), using copper Kα.
Kinematic intensities with the Lorentz-polarization factor, no thermal factor.

Main lines, low angle first (5 to 70 degrees two-theta):
d_spacing  I_rel  h k l
9.353  63  0 0 2
6.819  55  1 1 0
3.857  93  1 1 4
3.547  74  2 1 3
3.357  100  2 0 4
3.050  86  3 1 0

Cell and atoms:
```
data_Rb5Hg
_chemical_formula_sum 'Rb20 Hg4'
_cell_length_a 9.6441
_cell_length_b 9.6441
_cell_length_c 18.7050
_cell_angle_alpha 90.00
_cell_angle_beta 90.00
_cell_angle_gamma 90.00
_symmetry_space_group_name_H-M 'I 4/m c m'
_symmetry_Int_Tables_number 140
_symmetry_space_group_name_Hall '-I 4 2c'
loop_
_atom_site_label
_atom_site_type_symbol
_atom_site_fract_x
_atom_site_fract_y
_atom_site_fract_z
Rb1 Rb 0.0000 0.0000 0.0000
Rb2 Rb 0.1692 0.3308 0.1501
Hg1 Hg 0.0000 0.0000 0.2500
```



Record 4
The following is a simulated powder diffraction line list of RbHg13. It was derived from a DFT-relaxed cell (PBE, Alexandria), using copper Kα.
Kinematic intensities with the Lorentz-polarization factor, no thermal factor.

Main lines, low angle first (5 to 70 degrees two-theta):
d_spacing  I_rel  h k l
7.634  27  2 0 0
3.117  45  4 2 2
2.581  100  5 3 1
2.545  51  6 0 0
1.676  23  7 5 3
1.424  17  9 5 3

Cell and atoms:
```
data_RbHg13
_chemical_formula_sum 'Rb8 Hg104'
_cell_length_a 15.2680
_cell_length_b 15.2680
_cell_length_c 15.2680
_cell_angle_alpha 90.00
_cell_angle_beta 90.00
_cell_angle_gamma 90.00
_symmetry_space_group_name_H-M 'F m -3 c'
_symmetry_Int_Tables_number 226
_symmetry_space_group_name_Hall '-F 4a 2 3'
loop_
_atom_site_label
_atom_site_type_symbol
_atom_site_fract_x
_atom_site_fract_y
_atom_site_fract_z
Rb1 Rb 0.2500 0.2500 0.2500
Hg1 Hg 0.0000 0.0000 0.0000
Hg2 Hg 0.0000 0.1221 0.1803
```



Record 5
The following is a simulated powder diffraction line list of Rb3Hg8. It was derived from a DFT-relaxed cell (PBE, Alexandria), using copper Kα.
Kinematic intensities with the Lorentz-polarization factor, no thermal factor.

Main lines, low angle first (5 to 70 degrees two-theta):
d_spacing  I_rel  h k l
4.406  48  1 0 1
3.229  51  1 0 7
3.176  100  1 1 4
2.722  54  0 2 0
2.620  67  0 1 11
2.378  64  1 1 10

Cell and atoms:
```
data_Rb3Hg8
_chemical_formula_sum 'Rb6 Hg16'
_cell_length_a 4.4459
_cell_length_b 5.4442
_cell_length_c 32.8807
_cell_angle_alpha 90.00
_cell_angle_beta 90.00
_cell_angle_gamma 90.00
_symmetry_space_group_name_H-M 'I m m m'
_symmetry_Int_Tables_number 71
_symmetry_space_group_name_Hall '-I 2 2'
loop_
_atom_site_label
_atom_site_type_symbol
_atom_site_fract_x
_atom_site_fract_y
_atom_site_fract_z
Rb1 Rb 0.0000 0.0000 0.0000
Rb2 Rb 0.0000 0.5000 0.1459
Hg1 Hg 0.0000 0.0000 0.2581
Hg2 Hg 0.0000 0.0000 0.4519
Hg3 Hg 0.0000 0.5000 0.3093
Hg4 Hg 0.0000 0.5000 0.4051
```



Record 6
The following is a simulated powder diffraction line list of RbHg12. It was derived from a DFT-relaxed cell (PBE, Alexandria), using copper Kα.
Kinematic intensities with the Lorentz-polarization factor, no thermal factor.

Main lines, low angle first (5 to 70 degrees two-theta):
d_spacing  I_rel  h k l
6.058  100  1 1 0
4.284  36  2 0 0
3.498  88  2 1 1
2.473  81  2 2 2
2.290  58  3 2 1
2.142  47  4 0 0

Cell and atoms:
```
data_RbHg12
_chemical_formula_sum 'Rb1 Hg12'
_cell_length_a 8.5677
_cell_length_b 8.5677
_cell_length_c 8.5677
_cell_angle_alpha 90.00
_cell_angle_beta 90.00
_cell_angle_gamma 90.00
_symmetry_space_group_name_H-M 'P m -3 m'
_symmetry_Int_Tables_number 221
_symmetry_space_group_name_Hall '-P 4 2 3'
loop_
_atom_site_label
_atom_site_type_symbol
_atom_site_fract_x
_atom_site_fract_y
_atom_site_fract_z
Rb1 Rb 0.0000 0.0000 0.0000
Hg1 Hg 0.0000 0.2501 0.5000
```



Record 7
The following is a simulated powder diffraction line list of Rb15Hg. It was derived from a DFT-relaxed cell (PBE, Alexandria), using copper Kα.
Kinematic intensities with the Lorentz-polarization factor, no thermal factor.

Main lines, low angle first (5 to 70 degrees two-theta):
d_spacing  I_rel  h k l
4.296  24  2 0 0
3.941  23  0 0 4
3.772  100  2 0 2
2.481  22  2 2 0
2.242  20  2 0 6
2.099  24  2 2 4

Cell and atoms:
```
data_Rb15Hg
_chemical_formula_sum 'Rb15 Hg1'
_cell_length_a 9.9222
_cell_length_b 9.9222
_cell_length_c 15.7652
_cell_angle_alpha 90.00
_cell_angle_beta 90.00
_cell_angle_gamma 120.00
_symmetry_space_group_name_H-M 'P -6 m 2'
_symmetry_Int_Tables_number 187
_symmetry_space_group_name_Hall 'P -6 2'
loop_
_atom_site_label
_atom_site_type_symbol
_atom_site_fract_x
_atom_site_fract_y
_atom_site_fract_z
Rb1 Rb 0.0000 0.0000 0.0000
Rb2 Rb 0.0094 0.5047 0.5000
Rb3 Rb 0.3196 0.1598 0.2693
Rb4 Rb 0.3333 0.6667 0.2404
Rb5 Rb 0.5045 0.0089 0.0000
Hg1 Hg 0.0000 0.0000 0.5000
```



Record 8
The following is a simulated powder diffraction line list of Rb5Hg19. It was derived from a DFT-relaxed cell (PBE, Alexandria), using copper Kα.
Kinematic intensities with the Lorentz-polarization factor, no thermal factor.

Main lines, low angle first (5 to 70 degrees two-theta):
d_spacing  I_rel  h k l
5.476  37  0 0 2
4.864  35  1 2 1
3.143  83  3 1 2
3.030  66  1 2 3
2.714  100  2 4 0
2.229  34  3 1 4

Cell and atoms:
```
data_Rb5Hg19
_chemical_formula_sum 'Rb10 Hg38'
_cell_length_a 12.1376
_cell_length_b 12.1376
_cell_length_c 10.9524
_cell_angle_alpha 90.00
_cell_angle_beta 90.00
_cell_angle_gamma 90.00
_symmetry_space_group_name_H-M 'I 4/m'
_symmetry_Int_Tables_number 87
_symmetry_space_group_name_Hall '-I 4'
loop_
_atom_site_label
_atom_site_type_symbol
_atom_site_fract_x
_atom_site_fract_y
_atom_site_fract_z
Rb1 Rb 0.0000 0.0000 0.0000
Rb2 Rb 0.1204 0.6759 0.5000
Hg1 Hg 0.0000 0.0000 0.5000
Hg2 Hg 0.0000 0.5000 0.2500
Hg3 Hg 0.0794 0.1727 0.2863
Hg4 Hg 0.1129 0.7048 0.1394
```



Please write out number 8 again, unchanged.
The following is a simulated powder diffraction line list of Rb5Hg19. It was derived from a DFT-relaxed cell (PBE, Alexandria), using copper Kα.
Kinematic intensities with the Lorentz-polarization factor, no thermal factor.

Main lines, low angle first (5 to 70 degrees two-theta):
d_spacing  I_rel  h k l
5.476  37  0 0 2
4.864  35  1 2 1
3.143  83  3 1 2
3.030  66  1 2 3
2.714  100  2 4 0
2.229  34  3 1 4

Cell and atoms:
```
data_Rb5Hg19
_chemical_formula_sum 'Rb10 Hg38'
_cell_length_a 12.1376
_cell_length_b 12.1376
_cell_length_c 10.9524
_cell_angle_alpha 90.00
_cell_angle_beta 90.00
_cell_angle_gamma 90.00
_symmetry_space_group_name_H-M 'I 4/m'
_symmetry_Int_Tables_number 87
_symmetry_space_group_name_Hall '-I 4'
loop_
_atom_site_label
_atom_site_type_symbol
_atom_site_fract_x
_atom_site_fract_y
_atom_site_fract_z
Rb1 Rb 0.0000 0.0000 0.0000
Rb2 Rb 0.1204 0.6759 0.5000
Hg1 Hg 0.0000 0.0000 0.5000
Hg2 Hg 0.0000 0.5000 0.2500
Hg3 Hg 0.0794 0.1727 0.2863
Hg4 Hg 0.1129 0.7048 0.1394
```